Starting from a cell relaxed with PBE, the XRD peak list of Pm3Dy8Er2 was computed for copper Kα.
Intensities are scaled so that the largest is 100.

Atomic structure:
Cell: 20.7493 5.0335 7.9673 Å, 90.00 94.37 90.00°
Space group C2/m (No. 12)
Inequivalent atoms, fractional coordinates:
Pm 0.0000 0.0000 0.0000 (multiplicity 2)
Pm 0.0388 0.5000 0.3069 (multiplicity 4)
Dy 0.0783 0.0000 0.6146 (multiplicity 4)
Dy 0.1173 0.5000 0.9217 (multiplicity 4)
Dy 0.1556 0.0000 0.2302 (multiplicity 4)
Dy 0.1931 0.5000 0.5386 (multiplicity 4)
Er 0.2312 0.0000 0.8462 (multiplicity 4)

Most intense lines, 2θ from 10° to 90°, by angle:
two_theta	I/Imax	(hkl)
30.8	100	5 1 1
35.7	51	2 0 3
51.3	36	2 2 3
61.0	43	7 1 4
64.1	12	10 2 2
83.7	18	7 3 4
86.4	4	4 2 6
86.4	10	2 4 3